Diffraction record for Dy6Y3Ho2. The powder XRD pattern is simulated, not measured: it uses a crystal structure in Alexandria, relaxed with GGA-PBE and Cu Kα, 1.54184 Å.
Neutral-atom scattering factors, no anomalous dispersion.

Structure:
```
data_Dy6Y3Ho2
_space_group_name_H-M_alt 'R -3 m'
_space_group_IT_number 166
_space_group_name_Hall '-R 3 2"'
_cell_length_a 3.5520
_cell_length_b 3.5520
_cell_length_c 95.4284
_cell_angle_alpha 90.00
_cell_angle_beta 90.00
_cell_angle_gamma 120.00
loop_
_atom_site_label
_atom_site_type_symbol
_atom_site_fract_x
_atom_site_fract_y
_atom_site_fract_z
Dy1 Dy 0.0000 0.0000 0.0913
Dy2 Dy 0.0000 0.0000 0.1818
Dy3 Dy 0.0000 0.0000 0.3638
Y1 Y 0.0000 0.0000 0.0000
Y2 Y 0.0000 0.0000 0.2725
Ho1 Ho 0.0000 0.0000 0.4547
```

The 10 most intense peaks (2θ = 10–90°), by angle:
| (hkl) | 2theta | intensity |
| --- | --- | --- |
| 0 1 11 | 30.9 | 100 |
| 1 0 22 | 35.8 | 50 |
| 1 1 0 | 51.5 | 18 |
| 0 1 44 | 51.6 | 18 |
| 2 0 11 | 61.2 | 32 |
| 1 0 55 | 61.3 | 10 |
| 0 2 22 | 64.3 | 9 |
| 1 2 11 | 84.0 | 9 |
| 2 1 22 | 86.7 | 8 |
| 1 1 66 | 86.9 | 8 |